[1]
Structure and theoretical powder XRD pattern of TaW2Se4S2 (a DFT-relaxed cell (PBE, Alexandria); a wavelength of 1.5418 Å).
Intensities are scaled so that the largest is 100.

Main lines, in order of falling intensity (2θ from 10° to 90°):
| hkl | 2θ/deg | I/Imax |
| --- | --- | --- |
| 0 0 3 | 12.29 | 100 |
| 0 1 5 | 37.49 | 40 |
| 0 1 8 | 46.05 | 23 |
| 1 0 0 | 31.00 | 23 |
| 1 0 4 | 35.28 | 18 |
| 0 1 3 | 33.47 | 17 |
| 1 1 0 | 55.15 | 17 |
| 1 0 7 | 42.92 | 16 |
| 1 1 3 | 56.73 | 15 |
| 1 1 12 | 78.20 | 10 |

Unit cell a=3.3307 b=3.3307 c=21.5994 alpha=90.00 beta=90.00 gamma=120.00
Space group P3m1 (No. 156)
Inequivalent atoms, fractional coordinates:
Ta 0.0000 0.0000 0.0000 x1
W 0.0000 0.0000 0.6543 x1
W 0.6667 0.3333 0.3202 x1
Se 0.0000 0.0000 0.2424 x1
Se 0.0000 0.0000 0.3980 x1
Se 0.6667 0.3333 0.5765 x1
Se 0.6667 0.3333 0.7320 x1
S 0.6667 0.3333 0.0725 x1
S 0.6667 0.3333 0.9275 x1

=====

[2]
Structure and theoretical powder XRD pattern of HoSi2RuPt4 (a DFT-relaxed cell (PBE, Alexandria); a wavelength of 1.5418 Å).
Intensities are scaled so that the largest is 100.

Main lines, in order of falling intensity (2θ from 10° to 90°):
| hkl | 2θ/deg | I/Imax |
| --- | --- | --- |
| 1 1 2 | 37.87 | 100 |
| 2 0 0 | 46.66 | 32 |
| 0 0 2 | 18.86 | 31 |
| 3 1 2 | 80.67 | 23 |
| 0 0 4 | 38.26 | 20 |
| 2 0 4 | 61.87 | 20 |
| 1 1 6 | 68.91 | 14 |
| 1 1 0 | 32.53 | 14 |
| 1 0 2 | 29.79 | 13 |
| 1 1 4 | 51.07 | 11 |

Unit cell a=3.8931 b=3.8931 c=9.4094 alpha=90.00 beta=90.00 gamma=90.00
Space group P4/mmm (No. 123)
Inequivalent atoms, fractional coordinates:
Ho 0.0000 0.0000 0.0000 x1
Si 0.5000 0.5000 0.3786 x2
Ru 0.0000 0.0000 0.5000 x1
Pt 0.0000 0.5000 0.2354 x4

=====

[3]
Structure and theoretical powder XRD pattern of BaVS3 (a DFT-relaxed cell (PBE, Alexandria); a wavelength of 1.5418 Å).
Intensities are scaled so that the largest is 100.

Main lines, in order of falling intensity (2θ from 10° to 90°):
| hkl | 2θ/deg | I/Imax |
| --- | --- | --- |
| 2 2 1 | 34.32 | 100 |
| 1 1 1 | 21.79 | 54 |
| 1 3 0 | 26.40 | 50 |
| 0 4 1 | 34.64 | 47 |
| 1 1 2 | 35.24 | 32 |
| 0 2 1 | 21.91 | 30 |
| 2 2 2 | 44.42 | 30 |
| 2 0 0 | 26.09 | 28 |
| 0 0 2 | 31.66 | 25 |
| 2 6 0 | 54.35 | 20 |

Unit cell a=6.8310 b=11.6512 c=5.6520 alpha=90.00 beta=90.00 gamma=90.00
Space group Cmc2_1 (No. 36)
Inequivalent atoms, fractional coordinates:
Ba 0.0000 0.1635 0.0000 x4
V 0.0000 0.4756 0.7380 x4
S 0.0000 0.3291 0.4922 x4
S 0.2402 0.4199 0.0090 x8

=====

[4]
Structure and theoretical powder XRD pattern of LiGa6Ni6 (a DFT-relaxed cell (PBE, Alexandria); a wavelength of 1.5418 Å).
Intensities are scaled so that the largest is 100.

Main lines, in order of falling intensity (2θ from 10° to 90°):
| hkl | 2θ/deg | I/Imax |
| --- | --- | --- |
| 2 2 2 | 47.80 | 100 |
| 2 2 0 | 42.61 | 36 |
| 0 0 4 | 42.01 | 28 |
| 2 0 0 | 36.17 | 28 |
| 0 4 0 | 44.38 | 25 |
| 4 0 0 | 76.77 | 19 |
| 0 0 2 | 20.65 | 19 |
| 0 4 2 | 49.42 | 15 |
| 0 2 0 | 21.77 | 14 |
| 2 6 0 | 80.48 | 14 |

Unit cell a=4.9665 b=8.1656 c=8.6019 alpha=90.00 beta=90.00 gamma=90.00
Space group Immm (No. 71)
Inequivalent atoms, fractional coordinates:
Li 0.0000 0.0000 0.0000 x2
Ga 0.0000 0.0000 0.3352 x4
Ga 0.0000 0.3094 0.0000 x4
Ga 0.0000 0.5000 0.3309 x4
Ni 0.0000 0.2536 0.5000 x4
Ni 0.2500 0.2500 0.2500 x8

=====

[5]
Structure and theoretical powder XRD pattern of CaZrZn17 (a DFT-relaxed cell (PBE, Alexandria); a wavelength of 1.5418 Å).
Intensities are scaled so that the largest is 100.

Main lines, in order of falling intensity (2θ from 10° to 90°):
| hkl | 2θ/deg | I/Imax |
| --- | --- | --- |
| 0 3 3 | 40.65 | 100 |
| 2 2 3 | 45.65 | 77 |
| 2 2 0 | 40.41 | 57 |
| 0 0 6 | 41.36 | 46 |
| 3 0 0 | 34.81 | 33 |
| 2 0 5 | 41.64 | 25 |
| 6 0 0 | 73.51 | 25 |
| 0 2 4 | 35.93 | 24 |
| 1 1 6 | 46.28 | 20 |
| 0 3 9 | 74.91 | 20 |

Unit cell a=8.9274 b=8.9274 c=13.1034 alpha=90.00 beta=90.00 gamma=120.00
Space group R3m (No. 160, hexagonal axes)
Inequivalent atoms, fractional coordinates:
Ca 0.0000 0.0000 0.0000 x3
Zr 0.0000 0.0000 0.6674 x3
Zn 0.0000 0.0000 0.2399 x3
Zn 0.0000 0.0000 0.4403 x3
Zn 0.0024 0.3006 0.3357 x18
Zn 0.0015 0.5008 0.1859 x9
Zn 0.0078 0.5039 0.8345 x9
Zn 0.0239 0.5119 0.4881 x9

=====

[6]
Structure and theoretical powder XRD pattern of Ac3In2Au7 (a DFT-relaxed cell (PBE, Alexandria); a wavelength of 1.5418 Å).
Intensities are scaled so that the largest is 100.

Main lines, in order of falling intensity (2θ from 10° to 90°):
| hkl | 2θ/deg | I/Imax |
| --- | --- | --- |
| 1 1 6 | 32.87 | 100 |
| 2 0 0 | 39.48 | 58 |
| 1 1 2 | 28.26 | 28 |
| 3 1 6 | 67.45 | 23 |
| 1 0 11 | 37.94 | 22 |
| 1 1 8 | 36.46 | 21 |
| 2 2 0 | 57.07 | 20 |
| 1 1 4 | 30.06 | 17 |
| 2 1 11 | 55.91 | 15 |
| 2 1 9 | 52.30 | 14 |

Unit cell a=4.5646 b=4.5646 c=30.5353 alpha=90.00 beta=90.00 gamma=90.00
Space group I4/mmm (No. 139)
Inequivalent atoms, fractional coordinates:
Ac 0.0000 0.0000 0.0000 x2
Ac 0.0000 0.0000 0.1797 x4
In 0.0000 0.0000 0.3741 x4
Au 0.0000 0.0000 0.2824 x4
Au 0.0000 0.0000 0.5000 x2
Au 0.0000 0.5000 0.0750 x8

=====

[7]
Structure and theoretical powder XRD pattern of Na2Zr2ScSe6 (a DFT-relaxed cell (PBE, Alexandria); a wavelength of 1.5418 Å).
Intensities are scaled so that the largest is 100.

Main lines, in order of falling intensity (2θ from 10° to 90°):
| hkl | 2θ/deg | I/Imax |
| --- | --- | --- |
| 1 3 1 | 31.57 | 100 |
| 0 0 1 | 12.28 | 43 |
| 2 0 2 | 43.12 | 37 |
| 0 6 0 | 47.30 | 33 |
| 4 6 0 | 77.97 | 14 |
| 2 0 -3 | 39.82 | 14 |
| 2 6 -2 | 57.95 | 11 |
| 2 6 2 | 65.91 | 10 |
| 2 0 0 | 28.05 | 9 |
| 0 6 4 | 71.78 | 8 |

Unit cell a=6.6535 b=11.5375 c=7.5444 alpha=90.00 beta=107.22 gamma=90.00
Space group C2/m (No. 12)
Inequivalent atoms, fractional coordinates:
Na 0.0000 0.1666 0.0000 x4
Zr 0.0000 0.3329 0.5000 x4
Sc 0.0000 0.0000 0.5000 x2
Se 0.2393 0.5000 0.7202 x4
Se 0.2416 0.1658 0.7213 x8

=====

[8]
Structure and theoretical powder XRD pattern of Cs2TbMgI6 (a DFT-relaxed cell (PBE, Alexandria); a wavelength of 1.5418 Å).
Intensities are scaled so that the largest is 100.

Main lines, in order of falling intensity (2θ from 10° to 90°):
| hkl | 2θ/deg | I/Imax |
| --- | --- | --- |
| 2 0 2 | 28.79 | 100 |
| 2 2 0 | 24.87 | 94 |
| 4 0 0 | 41.17 | 75 |
| 4 2 2 | 48.70 | 44 |
| 6 0 2 | 67.55 | 34 |
| 4 4 0 | 51.01 | 27 |
| 6 4 2 | 75.03 | 25 |
| 6 2 0 | 65.62 | 18 |
| 1 1 0 | 12.36 | 14 |
| 6 6 0 | 80.47 | 13 |

Unit cell a=8.7686 b=12.4073 c=8.7695 alpha=90.00 beta=90.00 gamma=90.00
Space group Pmmn (No. 59, origin choice 2)
Inequivalent atoms, fractional coordinates:
Cs 0.2500 0.0002 0.2496 x4
Tb 0.2500 0.2500 0.7488 x2
Mg 0.2500 0.7500 0.7507 x2
I 0.0021 0.2500 0.9947 x4
I 0.0039 0.2500 0.5008 x4
I 0.2500 0.0032 0.7495 x4

=====

[9]
Structure and theoretical powder XRD pattern of K2Zn3SiAs4 (a DFT-relaxed cell (PBE, Alexandria); a wavelength of 1.5418 Å).
Intensities are scaled so that the largest is 100.

Main lines, in order of falling intensity (2θ from 10° to 90°):
| hkl | 2θ/deg | I/Imax |
| --- | --- | --- |
| 1 3 1 | 28.64 | 100 |
| 0 2 0 | 12.21 | 76 |
| 2 0 2 | 44.41 | 42 |
| 2 4 0 | 39.89 | 28 |
| 0 4 2 | 40.00 | 28 |
| 2 6 0 | 49.14 | 23 |
| 0 6 2 | 49.24 | 22 |
| 1 1 1 | 22.64 | 17 |
| 2 2 0 | 33.37 | 16 |
| 0 2 2 | 33.50 | 16 |

Unit cell a=5.7824 b=14.4952 c=5.7562 alpha=90.00 beta=90.00 gamma=90.00
Space group C222 (No. 21)
Inequivalent atoms, fractional coordinates:
K 0.2500 0.2500 0.2477 x4
Zn 0.0000 0.0000 0.0000 x2
Zn 0.0000 0.5000 0.0000 x2
Zn 0.0000 0.5000 0.5000 x2
Si 0.0000 0.0000 0.5000 x2
As 0.2330 0.1057 0.7329 x8

=====

[10]
Structure and theoretical powder XRD pattern of YMg11Au (a DFT-relaxed cell (PBE, Alexandria); a wavelength of 1.5418 Å).
Intensities are scaled so that the largest is 100.

Main lines, in order of falling intensity (2θ from 10° to 90°):
| hkl | 2θ/deg | I/Imax |
| --- | --- | --- |
| 0 2 0 | 12.35 | 100 |
| 0 0 2 | 24.84 | 73 |
| 1 1 -1 | 17.87 | 65 |
| 0 4 2 | 35.44 | 51 |
| 1 3 1 | 30.52 | 44 |
| 2 2 0 | 35.73 | 41 |
| 2 2 -2 | 36.20 | 37 |
| 1 3 -1 | 25.10 | 35 |
| 1 1 -3 | 35.90 | 34 |
| 1 5 -1 | 35.60 | 33 |

Unit cell a=5.7413 b=14.3461 c=7.6546 alpha=90.00 beta=110.84 gamma=90.00
Space group C2/m (No. 12)
Inequivalent atoms, fractional coordinates:
Y 0.0000 0.0000 0.0000 x2
Mg 0.0000 0.0000 0.5000 x2
Mg 0.0985 0.3968 0.2150 x8
Mg 0.1842 0.1712 0.3569 x8
Mg 0.2500 0.2500 0.0000 x4
Au 0.0000 0.5000 0.5000 x2

=====

[11]
Structure and theoretical powder XRD pattern of Tb2NdReN4 (a DFT-relaxed cell (PBE, Alexandria); a wavelength of 1.5418 Å).
Intensities are scaled so that the largest is 100.

Main lines, in order of falling intensity (2θ from 10° to 90°):
| hkl | 2θ/deg | I/Imax |
| --- | --- | --- |
| 1 1 2 | 30.83 | 100 |
| 1 3 2 | 37.78 | 99 |
| 0 4 0 | 30.30 | 60 |
| 0 0 4 | 30.60 | 45 |
| 0 4 4 | 43.60 | 32 |
| 2 0 0 | 52.56 | 26 |
| 1 7 2 | 63.33 | 22 |
| 0 2 1 | 16.83 | 20 |
| 1 5 2 | 49.17 | 19 |
| 0 2 5 | 41.55 | 18 |

Unit cell a=3.4829 b=11.7990 c=11.6880 alpha=90.00 beta=90.00 gamma=90.00
Space group Cmcm (No. 63)
Inequivalent atoms, fractional coordinates:
Tb 0.0000 0.1314 0.0394 x8
Nd 0.0000 0.3807 0.2500 x4
Re 0.0000 0.3556 0.7500 x4
N 0.0000 0.0628 0.2500 x4
N 0.0000 0.2361 0.6291 x8
N 0.0000 0.5000 0.0000 x4

=====

[12]
Structure and theoretical powder XRD pattern of Pu4UN5 (a DFT-relaxed cell (PBE, Alexandria); a wavelength of 1.5418 Å).
Intensities are scaled so that the largest is 100.

Main lines, in order of falling intensity (2θ from 10° to 90°):
| hkl | 2θ/deg | I/Imax |
| --- | --- | --- |
| 1 2 1 | 31.42 | 100 |
| 0 0 2 | 36.44 | 65 |
| 5 0 1 | 62.46 | 46 |
| 3 1 2 | 52.48 | 46 |
| 5 0 3 | 85.90 | 20 |
| 2 4 2 | 65.57 | 16 |
| 6 2 2 | 88.75 | 15 |
| 3 1 4 | 88.61 | 7 |
| 6 2 0 | 77.46 | 5 |
| 0 0 4 | 77.29 | 3 |

Unit cell a=7.7931 b=7.7931 c=4.9378 alpha=90.00 beta=90.00 gamma=90.00
Space group I4/m (No. 87)
Inequivalent atoms, fractional coordinates:
Pu 0.0976 0.6987 0.0000 x8
U 0.0000 0.0000 0.5000 x2
N 0.0000 0.0000 0.0000 x2
N 0.0973 0.7115 0.5000 x8